# Na2SbOsO6
Theoretical PXRD pattern, Cu Ka. Input: a cell relaxed with PBE.

Cell and atoms:
Lattice parameters (Å, degrees): 5.599 5.599 3.864 90.00 90.00 90.00
Space group P4/mmm (No. 123)
Asymmetric unit:
Na 0.000 0.500 0.000 x2
Sb 0.000 0.000 0.500 x1
Os 0.500 0.500 0.500 x1
O 0.000 0.000 0.000 x1
O 0.250 0.250 0.500 x4
O 0.500 0.500 0.000 x1

The 8 most intense peaks (10 to 90 degrees two-theta), sorted by position:
| Position (°2θ) | intensity | index |
| --- | --- | --- |
| 22.46 | 100.0 | 1 1 0 |
| 23.02 | 47.1 | 0 0 1 |
| 31.97 | 49.6 | 2 0 0 |
| 32.38 | 95.9 | 1 1 1 |
| 45.84 | 35.0 | 2 2 0 |
| 51.62 | 20.7 | 3 1 0 |
| 51.90 | 20.4 | 2 2 1 |
| 57.23 | 38.9 | 3 1 1 |